(1)
Diffraction record for InGaPtO6. The X-ray diffraction stick pattern is simulated, not measured: it uses a cell relaxed with GGA-PBE and a wavelength of 1.5418 Å.
Lines closer than 0.1° are merged.

Crystal structure
```
data_InGaPtO6
_space_group_name_H-M_alt 'P -3 1 c'
_space_group_IT_number 163
_space_group_name_Hall '-P 3 2c'
_cell_length_a 5.2056
_cell_length_b 5.2056
_cell_length_c 9.0274
_cell_angle_alpha 90.00
_cell_angle_beta 90.00
_cell_angle_gamma 120.00
loop_
_atom_site_label
_atom_site_type_symbol
_atom_site_fract_x
_atom_site_fract_y
_atom_site_fract_z
In1 In 0.0000 0.0000 0.0000
Ga1 Ga 0.3333 0.6667 0.2500
Pt1 Pt 0.3333 0.6667 0.7500
O1 O 0.0018 0.3573 0.6326
```

Principal peaks in the range 15 to 90 degrees two-theta, sorted by position:
h k l	Position (°2θ)	I (rel.)
1 0 1	22.04	29
1 0 2	27.97	100
1 1 0	34.46	51
2 0 2	44.95	27
1 1 4	53.76	46
2 1 2	57.84	26

=====

(2)
Diffraction record for Ti3CdC. The X-ray diffraction stick pattern is simulated, not measured: it uses a cell relaxed with GGA-PBE and a wavelength of 1.5418 Å.
Lines closer than 0.1° are merged.

Crystal structure
```
data_Ti3CdC
_space_group_name_H-M_alt 'P 4/m m m'
_space_group_IT_number 123
_space_group_name_Hall '-P 4 2'
_cell_length_a 3.086
_cell_length_b 3.086
_cell_length_c 8.134
_cell_angle_alpha 90.00
_cell_angle_beta 90.00
_cell_angle_gamma 90.00
loop_
_atom_site_label
_atom_site_type_symbol
_atom_site_fract_x
_atom_site_fract_y
_atom_site_fract_z
Ti1 Ti 0.000 0.000 0.000
Ti2 Ti 0.500 0.500 0.251
Cd1 Cd 0.000 0.000 0.500
C1 C 0.500 0.500 0.000
```

Principal peaks in the range 15 to 90 degrees two-theta, sorted by position:
h k l	Position (°2θ)	I (rel.)
1 0 1	31.00	16
1 0 2	36.55	100
1 1 0	41.38	41
0 0 4	44.54	22
1 1 4	62.43	22
2 1 2	72.31	24

=====

(3)
Diffraction record for SmErAg4. The X-ray diffraction stick pattern is simulated, not measured: it uses a cell relaxed with GGA-PBE and a wavelength of 1.5418 Å.
Lines closer than 0.1° are merged.

Crystal structure
```
data_SmErAg4
_space_group_name_H-M_alt 'P 1 m 1'
_space_group_IT_number 6
_cell_length_a 5.328
_cell_length_b 5.327
_cell_length_c 5.354
_cell_angle_alpha 90.00
_cell_angle_beta 119.62
_cell_angle_gamma 90.00
loop_
_space_group_symop_operation_xyz
'x,y,z'
'x,-y,z'
loop_
_atom_site_label
_atom_site_type_symbol
_atom_site_fract_x
_atom_site_fract_y
_atom_site_fract_z
Sm1 Sm 0.000 0.000 0.000
Er1 Er 0.499 0.500 0.000
Ag1 Ag 0.171 0.500 0.345
Ag2 Ag 0.334 0.000 0.665
Ag3 Ag 0.667 0.000 0.335
Ag4 Ag 0.827 0.500 0.655
```

Principal peaks in the range 15 to 90 degrees two-theta, sorted by position:
h k l	Position (°2θ)	I (rel.)
0 2 0	33.64	100
1 1 1	37.50	74
1 1 -2	37.60	73
2 2 -1	48.32	35
3 1 0	62.68	32
3 1 -3	62.83	31

=====

(4)
Diffraction record for Zn2Si3Pb4SO15. The X-ray diffraction stick pattern is simulated, not measured: it uses a cell relaxed with GGA-PBE and a wavelength of 1.5418 Å.
Lines closer than 0.1° are merged.

Crystal structure
```
data_Zn2Si3Pb4SO15
_space_group_name_H-M_alt 'P 1 21 1'
_space_group_IT_number 4
_cell_length_a 11.517
_cell_length_b 5.352
_cell_length_c 12.807
_cell_angle_alpha 90.00
_cell_angle_beta 108.09
_cell_angle_gamma 90.00
loop_
_space_group_symop_operation_xyz
'x,y,z'
'-x,y+1/2,-z'
loop_
_atom_site_label
_atom_site_type_symbol
_atom_site_fract_x
_atom_site_fract_y
_atom_site_fract_z
Zn1 Zn 0.077 0.000 0.147
Zn2 Zn 0.361 0.027 0.886
Si1 Si 0.077 0.990 0.875
Si2 Si 0.360 0.948 0.316
Si3 Si 0.484 0.525 0.843
Pb1 Pb 0.153 0.507 0.717
Pb2 Pb 0.185 0.488 0.371
Pb3 Pb 0.266 0.638 0.059
Pb4 Pb 0.457 0.961 0.613
S1 S 0.149 0.024 0.534
O1 O 0.050 0.338 0.191
O2 O 0.052 0.052 0.586
O3 O 0.063 0.289 0.847
O4 O 0.101 0.034 0.411
O5 O 0.110 0.930 0.008
O6 O 0.195 0.868 0.844
O7 O 0.216 0.783 0.569
O8 O 0.237 0.825 0.227
O9 O 0.240 0.235 0.570
O10 O 0.346 0.243 0.341
O11 O 0.358 0.382 0.844
O12 O 0.402 0.773 0.427
O13 O 0.402 0.948 0.047
O14 O 0.466 0.825 0.825
O15 O 0.475 0.911 0.263
```

Principal peaks in the range 15 to 90 degrees two-theta, sorted by position:
h k l	Position (°2θ)	I (rel.)
1 1 0	18.45	31
2 1 0	23.24	33
0 1 3	27.59	100
2 1 -3	28.37	40
3 1 -2	29.50	39
3 1 0	29.63	32

=====

(5)
Diffraction record for Rb3IrN6O12. The X-ray diffraction stick pattern is simulated, not measured: it uses a cell relaxed with GGA-PBE and a wavelength of 1.5418 Å.
Lines closer than 0.1° are merged.

Crystal structure
```
data_Rb3IrN6O12
_space_group_name_H-M_alt 'F m -3 m'
_space_group_IT_number 225
_space_group_name_Hall '-F 4 2 3'
_cell_length_a 12.493
_cell_length_b 12.493
_cell_length_c 12.493
_cell_angle_alpha 90.00
_cell_angle_beta 90.00
_cell_angle_gamma 90.00
loop_
_atom_site_label
_atom_site_type_symbol
_atom_site_fract_x
_atom_site_fract_y
_atom_site_fract_z
Rb1 Rb 0.000 0.000 0.000
Rb2 Rb 0.250 0.250 0.250
Ir1 Ir 0.000 0.000 0.500
N1 N 0.000 0.000 0.342
O1 O 0.000 0.214 0.286
```

Principal peaks in the range 15 to 90 degrees two-theta, sorted by position:
h k l	Position (°2θ)	I (rel.)
2 2 0	20.10	100
4 0 0	28.58	60
4 2 2	35.19	50
4 4 0	40.86	32
6 2 0	45.94	29
6 4 2	55.00	32